Structure and calculated X-ray powder pattern of LiCrBO3 (a cell relaxed with GGA+U; Cu Kα (λ = 1.5418 Å)).

The 10 most intense peaks (15 to 90 degrees two-theta), low angle first:
d [Å]  2θ (°)  I/Imax
4.404  20.16  85
4.331  20.51  31
4.065  21.86  46
3.919  22.69  74
2.643  33.92  52
2.630  34.09  31
2.538  35.37  100
2.398  37.50  33
2.301  39.14  35
2.230  40.44  81

```
12
Lattice="5.2710 0.0000 0.0000 -2.5477 4.6339 0.0000 -2.3384 -1.4305 5.0755" Properties=species:S:1:pos:R:3 pbc="T T T"
Li -0.7722 0.0882 1.5772
Li 1.1571 3.1152 3.4983
Cr -0.6602 3.0090 1.2706
Cr 1.0451 0.1944 3.8049
B -1.5640 1.6135 3.7583
B 1.9490 1.5899 1.3172
O -2.8559 1.8029 4.2828
O -1.0820 0.3355 3.5811
O 1.2106 0.4723 1.7244
O -0.8257 2.7311 3.3511
O 1.4670 2.8679 1.4945
O 3.2409 1.4005 0.7927
```